(1)
Li2TiO3: calculated powder diffractogram (Cu Kα), based on a structure optimized by DFT (PBE).
Neutral-atom scattering factors, no anomalous dispersion.

The 10 most intense peaks (2θ = 15–90°), in order of falling intensity:
Position (°2θ)  I/Imax
42.84  100
19.57  99
24.38  98
64.27  48
45.50  42
31.93  34
43.06  22
56.12  21
49.97  13
63.08  13

Cell and atoms:
a b c (Å): 5.170 5.170 5.170
angles (deg): 146.88 134.63 57.31
Fractional positions:
Li1 0.170 0.170 0.000
Li2 0.830 0.830 0.000
Ti1 0.500 0.500 0.000
O1 0.000 0.500 0.500
O2 0.352 0.852 0.500
O3 0.648 0.148 0.500

---

(2)
LiTi6O12: calculated powder diffractogram (Cu Kα), based on a structure optimized by DFT (PBE).
Neutral-atom scattering factors, no anomalous dispersion.

The 10 most intense peaks (2θ = 15–90°), in order of falling intensity:
Position (°2θ)  I/Imax
22.31  100
35.68  87
30.44  64
21.55  59
40.54  51
52.44  44
17.99  41
31.54  34
51.36  28
67.02  26

Cell and atoms:
a b c (Å): 4.934 5.942 14.243
angles (deg): 90.00 92.10 90.00
Fractional positions:
Li1 0.000 0.125 0.000
Li2 0.000 0.875 0.500
Ti1 0.392 0.375 0.621
Ti2 0.392 0.625 0.121
Ti3 0.430 0.126 0.132
Ti4 0.430 0.874 0.632
Ti5 0.457 0.379 0.935
Ti6 0.457 0.621 0.435
Ti7 0.458 0.129 0.435
Ti8 0.458 0.871 0.935
Ti9 0.931 0.376 0.282
Ti10 0.931 0.624 0.782
Ti11 0.933 0.125 0.777
Ti12 0.933 0.875 0.277
O1 0.117 0.375 0.715
O2 0.117 0.625 0.215
O3 0.119 0.125 0.215
O4 0.119 0.875 0.715
O5 0.227 0.125 0.884
O6 0.227 0.875 0.384
O7 0.232 0.118 0.554
O8 0.232 0.368 0.054
O9 0.232 0.632 0.554
O10 0.232 0.882 0.054
O11 0.244 0.375 0.377
O12 0.244 0.625 0.877
O13 0.621 0.130 0.684
O14 0.621 0.380 0.184
O15 0.621 0.620 0.684
O16 0.621 0.870 0.184
O17 0.622 0.375 0.506
O18 0.622 0.625 0.006
O19 0.631 0.125 0.008
O20 0.631 0.875 0.508
O21 0.747 0.122 0.347
O22 0.747 0.878 0.847
O23 0.749 0.372 0.848
O24 0.749 0.628 0.348

---

(3)
Li3Ti4O8: calculated powder diffractogram (Cu Kα), based on a structure optimized by DFT (PBE).
Neutral-atom scattering factors, no anomalous dispersion.

The 10 most intense peaks (2θ = 15–90°), in order of falling intensity:
Position (°2θ)  I/Imax
18.55  100
43.21  56
43.37  54
44.35  51
63.63  43
62.88  29
21.76  28
35.68  28
21.29  24
30.24  23

Cell and atoms:
a b c (Å): 5.850 5.850 5.826
angles (deg): 119.16 119.16 91.42
Fractional positions:
Li1 0.000 0.000 0.000
Li2 0.000 0.500 0.000
Li3 0.500 0.000 0.000
Ti1 0.000 0.000 0.500
Ti2 0.000 0.500 0.500
Ti3 0.500 0.000 0.500
Ti4 0.500 0.500 0.000
O1 0.244 0.244 0.962
O2 0.244 0.756 0.500
O3 0.250 0.250 0.500
O4 0.251 0.749 0.000
O5 0.749 0.251 0.000
O6 0.750 0.750 0.500
O7 0.756 0.244 0.500
O8 0.756 0.756 0.038